The following is a theoretical powder diffraction line list of BaCuPO4. It was derived from a crystal structure in Alexandria, relaxed with GGA-PBE, using Cu Kα (weighted mean of Kα1 and Kα2).

Top 10 peaks for 2θ from 15° to 90°, most intense first:
2θ 31.45, I = 1000; 2θ 19.11, I = 502; 2θ 37.07, I = 384; 2θ 56.00, I = 358; 2θ 22.10, I = 258; 2θ 49.38, I = 179; 2θ 65.66, I = 158; 2θ 74.62, I = 147; 2θ 59.73, I = 145; 2θ 45.08, I = 99

Structure:
Unit cell a=5.688 b=5.688 c=5.688 alpha=60.00 beta=60.00 gamma=60.00
Element x y z (fractional)
Ba: 0.000 0.000 0.000
Cu: 0.750 0.750 0.750
P: 0.500 0.500 0.500
O: 0.169 0.610 0.610
O: 0.610 0.169 0.610
O: 0.610 0.610 0.169
O: 0.610 0.610 0.610